Record 1
Structure and computed PXRD pattern of Li2MnF4 (DFT lattice parameters and positions (PBE+U); Cu Kα (λ = 1.5418 Å)).

Principal peaks in the range 10° ≤ 2θ ≤ 90°, by angle:
h k l, 2θ (°), intensity
1 0 0, 15.37, 97
0 1 1, 17.75, 92
1 0 -2, 20.33, 58
1 1 0, 21.84, 68
0 1 2, 23.42, 57
1 1 1, 24.94, 100
1 0 2, 26.10, 54
1 1 2, 30.45, 65
0 2 2, 35.94, 59
2 1 -3, 39.09, 59
0 2 3, 41.27, 54
1 2 3, 46.67, 43

```
data_Li2MnF4
_symmetry_space_group_name_H-M 'P 1 21/c 1'
_symmetry_Int_Tables_number 14
_cell_length_a 5.946
_cell_length_b 5.746
_cell_length_c 10.439
_cell_angle_alpha 90.00
_cell_angle_beta 104.09
_cell_angle_gamma 90.00
loop_
_symmetry_equiv_pos_as_xyz
'x,y,z'
'-x,-y,-z'
'-x,y+1/2,-z+1/2'
'x,-y+1/2,z+1/2'
loop_
_atom_site_label
_atom_site_fract_x
_atom_site_fract_y
_atom_site_fract_z
Li1 0.110 0.194 0.302
Li2 0.191 0.605 0.556
Mn1 0.388 0.122 0.620
F1 0.130 0.191 0.974
F2 0.138 0.014 0.716
F3 0.347 0.042 0.225
F4 0.367 0.683 0.996
```

Record 2
Structure and computed PXRD pattern of FeOF (DFT lattice parameters and positions (PBE+U); Cu Kα (λ = 1.5418 Å)).

Principal peaks in the range 10° ≤ 2θ ≤ 90°, by angle:
h k l, 2θ (°), intensity
1 1 0, 26.36, 100
0 1 3, 34.83, 51
1 1 3, 39.75, 19
2 1 -1, 43.44, 6
1 2 3, 52.18, 41
2 1 3, 52.27, 13
2 2 0, 54.26, 14
0 0 6, 60.58, 9
0 3 3, 66.01, 10
3 0 3, 66.23, 8
1 1 6, 67.22, 13
2 2 6, 85.68, 6

```
data_FeOF
_symmetry_space_group_name_H-M 'P 1 21 1'
_symmetry_Int_Tables_number 4
_cell_length_a 4.773
_cell_length_b 4.790
_cell_length_c 9.171
_cell_angle_alpha 90.00
_cell_angle_beta 90.06
_cell_angle_gamma 90.00
loop_
_symmetry_equiv_pos_as_xyz
'x,y,z'
'-x,y+1/2,-z'
loop_
_atom_site_label
_atom_site_fract_x
_atom_site_fract_y
_atom_site_fract_z
Fe1 0.203 0.000 0.084
Fe2 0.219 0.017 0.749
Fe3 0.288 0.948 0.417
O1 0.059 0.811 0.913
O2 0.068 0.803 0.254
O3 0.432 0.160 0.583
F1 0.046 0.780 0.583
F2 0.442 0.201 0.919
F3 0.456 0.183 0.248
```

Repeat the second record exactly.
Structure and computed PXRD pattern of FeOF (DFT lattice parameters and positions (PBE+U); Cu Kα (λ = 1.5418 Å)).

Principal peaks in the range 10° ≤ 2θ ≤ 90°, by angle:
h k l, 2θ (°), intensity
1 1 0, 26.36, 100
0 1 3, 34.83, 51
1 1 3, 39.75, 19
2 1 -1, 43.44, 6
1 2 3, 52.18, 41
2 1 3, 52.27, 13
2 2 0, 54.26, 14
0 0 6, 60.58, 9
0 3 3, 66.01, 10
3 0 3, 66.23, 8
1 1 6, 67.22, 13
2 2 6, 85.68, 6

```
data_FeOF
_symmetry_space_group_name_H-M 'P 1 21 1'
_symmetry_Int_Tables_number 4
_cell_length_a 4.773
_cell_length_b 4.790
_cell_length_c 9.171
_cell_angle_alpha 90.00
_cell_angle_beta 90.06
_cell_angle_gamma 90.00
loop_
_symmetry_equiv_pos_as_xyz
'x,y,z'
'-x,y+1/2,-z'
loop_
_atom_site_label
_atom_site_fract_x
_atom_site_fract_y
_atom_site_fract_z
Fe1 0.203 0.000 0.084
Fe2 0.219 0.017 0.749
Fe3 0.288 0.948 0.417
O1 0.059 0.811 0.913
O2 0.068 0.803 0.254
O3 0.432 0.160 0.583
F1 0.046 0.780 0.583
F2 0.442 0.201 0.919
F3 0.456 0.183 0.248
```

Q: Which formula does entry 1 have?
A: Li2MnF4